Starting from a GGA+U-relaxed structure, the powder diffraction line list of TiFeMoO6 was simulated for a wavelength of 1.5418 Å.

Principal peaks in the range 2θ = 10–90°, most intense first:
2θ/deg	d (Å)	I (rel.)
26.51	3.362	100
35.34	2.540	61
52.74	1.736	60
66.72	1.402	20
61.71	1.503	19
54.59	1.681	18
21.12	4.206	16
37.84	2.377	13
86.96	1.120	12
68.40	1.372	11

Structural model:
Unit cell a=4.7549 b=4.7549 c=9.0138 alpha=90.00 beta=90.00 gamma=90.00
Space group P4_2nm (No. 102)
Inequivalent atoms, fractional coordinates:
Ti (0.0000, 0.0000, 0.0000) [2 per cell]
Fe (0.0000, 0.0000, 0.6710) [2 per cell]
Mo (0.0000, 0.0000, 0.3399) [2 per cell]
O (0.1865, 0.1865, 0.1722) [4 per cell]
O (0.2070, 0.2070, 0.4867) [4 per cell]
O (0.2093, 0.2093, 0.8496) [4 per cell]